Li3MnVP3O12: computed powder diffractogram (Cu Ka), based on DFT lattice parameters and positions (PBE+U).

Structure:
abc: 8.506 8.506 8.711
angles: 61.85 62.42 62.98
Atoms (fractional coordinates):
Li (0.000, 0.000, 0.000)
Li (0.137, 0.741, 0.348)
Li (0.272, 0.628, 0.844)
Li (0.500, 0.500, 0.500)
Li (0.728, 0.372, 0.156)
Li (0.863, 0.259, 0.652)
Mn (0.360, 0.353, 0.356)
Mn (0.640, 0.647, 0.644)
V (0.147, 0.140, 0.151)
V (0.853, 0.860, 0.849)
P (0.051, 0.448, 0.753)
P (0.247, 0.943, 0.540)
P (0.446, 0.756, 0.036)
P (0.554, 0.244, 0.964)
P (0.753, 0.057, 0.460)
P (0.949, 0.552, 0.247)
O (0.004, 0.379, 0.190)
O (0.074, 0.266, 0.923)
O (0.082, 0.941, 0.731)
O (0.106, 0.546, 0.293)
O (0.176, 0.972, 0.389)
O (0.232, 0.455, 0.591)
O (0.255, 0.912, 0.078)
O (0.314, 0.103, 0.487)
O (0.383, 0.173, 0.045)
O (0.384, 0.745, 0.576)
O (0.441, 0.695, 0.899)
O (0.460, 0.601, 0.221)
O (0.540, 0.399, 0.779)
O (0.559, 0.305, 0.101)
O (0.616, 0.255, 0.424)
O (0.617, 0.827, 0.955)
O (0.686, 0.897, 0.513)
O (0.745, 0.088, 0.922)
O (0.768, 0.545, 0.409)
O (0.824, 0.028, 0.611)
O (0.894, 0.454, 0.707)
O (0.918, 0.059, 0.269)
O (0.926, 0.734, 0.077)
O (0.996, 0.621, 0.810)

Peak list (10 most intense, 2θ from 15° to 90°, low angle first)
2θ = 19.94°, I 37
2θ = 20.43°, I 41
2θ = 20.91°, I 92
2θ = 23.45°, I 49
2θ = 23.62°, I 56
2θ = 23.85°, I 100
2θ = 24.13°, I 51
2θ = 24.23°, I 47
2θ = 31.05°, I 36
2θ = 34.84°, I 39